1.
Diffraction record for Mn3SbP4O16. The powder diffractogram is computed, not measured: it uses a structure optimized by DFT (PBE+U) and CuKα.
No peak broadening, texture or thermal motion is included.

Structural model:
```
data_Mn3SbP4O16
_chemical_formula_sum 'Mn6 Sb2 P8 O32'
_symmetry_space_group_name_H-M 'P 1'
_symmetry_Int_Tables_number 1
_cell_length_a 7.9475
_cell_length_b 7.9475
_cell_length_c 11.0606
_cell_angle_alpha 105.51
_cell_angle_beta 105.51
_cell_angle_gamma 101.76
loop_
_symmetry_equiv_pos_as_xyz
'x,y,z'
loop_
_atom_site_label
_atom_site_fract_x
_atom_site_fract_y
_atom_site_fract_z
Mn1 0.0000 0.0000 0.0000
Mn2 0.3956 0.8973 0.4361
Mn3 0.4668 0.9699 0.9298
Mn4 0.5192 0.5192 0.0063
Mn5 0.8973 0.3956 0.4361
Mn6 0.9699 0.4668 0.9298
Sb1 0.4325 0.4325 0.5070
Sb2 0.9457 0.9457 0.5053
P1 0.0496 0.0496 0.3029
P2 0.1789 0.1789 0.8210
P3 0.2183 0.7387 0.6320
P4 0.3134 0.8129 0.1108
P5 0.5768 0.5768 0.3209
P6 0.6810 0.6810 0.8219
P7 0.7387 0.2183 0.6320
P8 0.8129 0.3134 0.1108
O1 0.0122 0.7513 0.5726
O2 0.0342 0.0342 0.8362
O3 0.1093 0.9182 0.3858
O4 0.1400 0.1400 0.6643
O5 0.1516 0.6470 0.0876
O6 0.1783 0.3778 0.8845
O7 0.1876 0.5346 0.5532
O8 0.2086 0.2086 0.3250
O9 0.2506 0.9501 0.0438
O10 0.2702 0.7767 0.7827
O11 0.3549 0.8707 0.6032
O12 0.3778 0.1783 0.8845
O13 0.4112 0.9080 0.2607
O14 0.4375 0.6322 0.3893
O15 0.4500 0.7531 0.0401
O16 0.4908 0.4908 0.1699
O17 0.5346 0.1876 0.5532
O18 0.5351 0.5351 0.8387
O19 0.6322 0.4375 0.3893
O20 0.6428 0.6428 0.6712
O21 0.6470 0.1516 0.0876
O22 0.6792 0.8792 0.8904
O23 0.7446 0.7446 0.3530
O24 0.7513 0.0122 0.5726
O25 0.7531 0.4500 0.0401
O26 0.7767 0.2702 0.7827
O27 0.8707 0.3549 0.6032
O28 0.8792 0.6792 0.8904
O29 0.9080 0.4112 0.2607
O30 0.9182 0.1093 0.3858
O31 0.9444 0.9444 0.1559
O32 0.9501 0.2506 0.0438
```

Principal peaks in the range 2θ = 10–80°, low angle first:
| d (Å) | 2θ (°) | I (rel.) |
| --- | --- | --- |
| 5.010 | 17.70 | 97 |
| 4.542 | 19.54 | 54 |
| 4.425 | 20.07 | 58 |
| 3.657 | 24.34 | 58 |
| 3.598 | 24.75 | 86 |
| 3.083 | 28.96 | 100 |
| 3.035 | 29.43 | 36 |
| 2.566 | 34.97 | 52 |
| 2.502 | 35.89 | 43 |
| 1.612 | 57.15 | 30 |



2.
Diffraction record for MnSb3P4O16. The powder diffractogram is computed, not measured: it uses a structure optimized by DFT (PBE+U) and CuKα.
No peak broadening, texture or thermal motion is included.

Structural model:
```
data_MnSb3P4O16
_chemical_formula_sum 'Mn1 Sb3 P4 O16'
_symmetry_space_group_name_H-M 'P 1'
_symmetry_Int_Tables_number 1
_cell_length_a 4.8919
_cell_length_b 6.7264
_cell_length_c 10.0716
_cell_angle_alpha 90.00
_cell_angle_beta 92.51
_cell_angle_gamma 90.00
loop_
_symmetry_equiv_pos_as_xyz
'x,y,z'
loop_
_atom_site_label
_atom_site_fract_x
_atom_site_fract_y
_atom_site_fract_z
Mn1 0.0000 0.0000 0.0000
Sb1 0.3043 0.0000 0.4786
Sb2 0.5082 0.5000 0.0753
Sb3 0.7971 0.5000 0.5678
P1 0.0627 0.5000 0.8839
P2 0.2198 0.5000 0.3668
P3 0.5627 0.0000 0.1852
P4 0.7582 0.0000 0.6826
O1 0.0627 0.0000 0.6495
O2 0.0855 0.3227 0.4447
O3 0.0855 0.6773 0.4447
O4 0.1144 0.5000 0.7352
O5 0.1484 0.5000 0.2173
O6 0.2106 0.3196 0.9576
O7 0.2106 0.6804 0.9576
O8 0.2511 0.0000 0.1689
O9 0.5338 0.5000 0.3853
O10 0.5967 0.1772 0.6090
O11 0.5967 0.8228 0.6090
O12 0.6494 0.0000 0.3348
O13 0.6942 0.1811 0.1108
O14 0.6942 0.8189 0.1108
O15 0.7385 0.0000 0.8318
O16 0.7498 0.5000 0.9040
```

Principal peaks in the range 2θ = 10–80°, low angle first:
| d (Å) | 2θ (°) | I (rel.) |
| --- | --- | --- |
| 5.031 | 17.63 | 79 |
| 3.725 | 23.89 | 61 |
| 3.636 | 24.48 | 49 |
| 3.585 | 24.84 | 27 |
| 3.363 | 26.50 | 100 |
| 3.163 | 28.21 | 23 |
| 3.057 | 29.22 | 45 |
| 2.603 | 34.45 | 36 |
| 2.355 | 38.22 | 35 |
| 1.953 | 46.50 | 23 |



3.
Diffraction record for MnSb3P6O24. The powder diffractogram is computed, not measured: it uses a structure optimized by DFT (PBE+U) and CuKα.
No peak broadening, texture or thermal motion is included.

Structural model:
```
data_MnSb3P6O24
_chemical_formula_sum 'Mn1 Sb3 P6 O24'
_symmetry_space_group_name_H-M 'P 1'
_symmetry_Int_Tables_number 1
_cell_length_a 8.9464
_cell_length_b 8.9464
_cell_length_c 8.9464
_cell_angle_alpha 56.16
_cell_angle_beta 56.16
_cell_angle_gamma 56.16
loop_
_symmetry_equiv_pos_as_xyz
'x,y,z'
loop_
_atom_site_label
_atom_site_fract_x
_atom_site_fract_y
_atom_site_fract_z
Mn1 0.0000 0.0000 0.0000
Sb1 0.2090 0.2090 0.2090
Sb2 0.4955 0.4955 0.4955
Sb3 0.7035 0.7035 0.7035
P1 0.1030 0.3852 0.8145
P2 0.3172 0.8909 0.6017
P3 0.3852 0.8145 0.1030
P4 0.6017 0.3172 0.8909
P5 0.8145 0.1030 0.3852
P6 0.8909 0.6017 0.3172
O1 0.0939 0.4579 0.2405
O2 0.1344 0.1941 0.8294
O3 0.1413 0.3715 0.9728
O4 0.1784 0.8636 0.8061
O5 0.1941 0.8294 0.1344
O6 0.2405 0.0939 0.4579
O7 0.2397 0.4774 0.6129
O8 0.3494 0.7434 0.5356
O9 0.3715 0.9728 0.1413
O10 0.4579 0.2405 0.0939
O11 0.4774 0.6129 0.2397
O12 0.5177 0.8753 0.5657
O13 0.5356 0.3494 0.7434
O14 0.5370 0.8347 0.8937
O15 0.5657 0.5177 0.8753
O16 0.6129 0.2397 0.4774
O17 0.7434 0.5356 0.3494
O18 0.8061 0.1784 0.8636
O19 0.8294 0.1344 0.1941
O20 0.8347 0.8937 0.5370
O21 0.8636 0.8061 0.1784
O22 0.8753 0.5657 0.5177
O23 0.8937 0.5370 0.8347
O24 0.9728 0.1413 0.3715
```

Principal peaks in the range 2θ = 10–80°, low angle first:
| d (Å) | 2θ (°) | I (rel.) |
| --- | --- | --- |
| 6.122 | 14.47 | 57 |
| 4.458 | 19.92 | 100 |
| 4.211 | 21.10 | 63 |
| 3.673 | 24.23 | 52 |
| 3.061 | 29.17 | 60 |
| 2.802 | 31.93 | 58 |
| 2.476 | 36.28 | 28 |
| 2.431 | 36.97 | 24 |
| 1.744 | 52.45 | 25 |
| 1.592 | 57.94 | 17 |



4.
Diffraction record for Mn3VSb2P6O24. The powder diffractogram is computed, not measured: it uses a structure optimized by DFT (PBE+U) and CuKα.
No peak broadening, texture or thermal motion is included.

Structural model:
```
data_Mn3VSb2P6O24
_chemical_formula_sum 'Mn3 V1 Sb2 P6 O24'
_symmetry_space_group_name_H-M 'P 1'
_symmetry_Int_Tables_number 1
_cell_length_a 8.9745
_cell_length_b 8.9745
_cell_length_c 8.9745
_cell_angle_alpha 58.10
_cell_angle_beta 58.10
_cell_angle_gamma 58.10
loop_
_symmetry_equiv_pos_as_xyz
'x,y,z'
loop_
_atom_site_label
_atom_site_fract_x
_atom_site_fract_y
_atom_site_fract_z
Mn1 0.0000 0.0000 0.0000
Mn2 0.1866 0.1866 0.1866
Mn3 0.4884 0.4884 0.4884
V1 0.6967 0.6967 0.6967
Sb1 0.3342 0.3342 0.3342
Sb2 0.8590 0.8590 0.8590
P1 0.0919 0.3944 0.7889
P2 0.3064 0.8764 0.5943
P3 0.3944 0.7889 0.0919
P4 0.5943 0.3064 0.8764
P5 0.7889 0.0919 0.3944
P6 0.8764 0.5943 0.3064
O1 0.0646 0.2260 0.8150
O2 0.0709 0.4312 0.2951
O3 0.1077 0.9038 0.7586
O4 0.1123 0.3836 0.9521
O5 0.2260 0.8150 0.0646
O6 0.2663 0.4090 0.6052
O7 0.2951 0.0709 0.4312
O8 0.3351 0.7315 0.5334
O9 0.3836 0.9521 0.1123
O10 0.4090 0.6052 0.2663
O11 0.4312 0.2951 0.0709
O12 0.4514 0.8258 0.6692
O13 0.5334 0.3351 0.7315
O14 0.5801 0.7432 0.9270
O15 0.6052 0.2663 0.4090
O16 0.6692 0.4514 0.8258
O17 0.7315 0.5334 0.3351
O18 0.7432 0.9270 0.5801
O19 0.7586 0.1077 0.9038
O20 0.8150 0.0646 0.2260
O21 0.8258 0.6692 0.4514
O22 0.9038 0.7586 0.1077
O23 0.9270 0.5801 0.7432
O24 0.9521 0.1123 0.3836
```

Principal peaks in the range 2θ = 10–80°, low angle first:
| d (Å) | 2θ (°) | I (rel.) |
| --- | --- | --- |
| 6.250 | 14.17 | 21 |
| 4.358 | 20.38 | 97 |
| 3.759 | 23.67 | 69 |
| 3.575 | 24.91 | 25 |
| 2.828 | 31.64 | 100 |
| 2.764 | 32.39 | 19 |
| 2.516 | 35.69 | 40 |
| 1.880 | 48.43 | 34 |
| 1.647 | 55.82 | 24 |
| 1.506 | 61.59 | 24 |



5.
Diffraction record for SmMnP2O8. The powder diffractogram is computed, not measured: it uses a structure optimized by DFT (PBE+U) and CuKα.
No peak broadening, texture or thermal motion is included.

Structural model:
```
data_SmMnP2O8
_chemical_formula_sum 'Sm1 Mn1 P2 O8'
_symmetry_space_group_name_H-M 'P 1'
_symmetry_Int_Tables_number 1
_cell_length_a 5.1047
_cell_length_b 5.1047
_cell_length_c 6.5878
_cell_angle_alpha 90.00
_cell_angle_beta 90.00
_cell_angle_gamma 120.00
loop_
_symmetry_equiv_pos_as_xyz
'x,y,z'
loop_
_atom_site_label
_atom_site_fract_x
_atom_site_fract_y
_atom_site_fract_z
Sm1 0.0000 0.0000 0.0000
Mn1 0.0000 0.0000 0.5000
P1 0.3333 0.6667 0.2344
P2 0.6667 0.3333 0.7656
O1 0.1663 0.3327 0.3041
O2 0.1663 0.8337 0.3041
O3 0.3327 0.1663 0.6959
O4 0.3333 0.6667 0.0014
O5 0.6667 0.3333 0.9986
O6 0.6673 0.8337 0.3041
O7 0.8337 0.1663 0.6959
O8 0.8337 0.6673 0.6959
```

Principal peaks in the range 2θ = 10–80°, low angle first:
| d (Å) | 2θ (°) | I (rel.) |
| --- | --- | --- |
| 6.588 | 13.44 | 26 |
| 4.421 | 20.09 | 100 |
| 3.671 | 24.25 | 48 |
| 2.641 | 33.94 | 75 |
| 2.552 | 35.16 | 57 |
| 2.380 | 37.80 | 27 |
| 2.018 | 44.93 | 33 |
| 1.835 | 49.67 | 40 |
| 1.490 | 62.31 | 26 |
| 1.384 | 67.71 | 18 |



6.
Diffraction record for MnSn3P4O16. The powder diffractogram is computed, not measured: it uses a structure optimized by DFT (PBE+U) and CuKα.
No peak broadening, texture or thermal motion is included.

Structural model:
```
data_MnSn3P4O16
_chemical_formula_sum 'Mn1 Sn3 P4 O16'
_symmetry_space_group_name_H-M 'P 1'
_symmetry_Int_Tables_number 1
_cell_length_a 5.1253
_cell_length_b 6.1935
_cell_length_c 10.4868
_cell_angle_alpha 90.00
_cell_angle_beta 90.49
_cell_angle_gamma 90.00
loop_
_symmetry_equiv_pos_as_xyz
'x,y,z'
loop_
_atom_site_label
_atom_site_fract_x
_atom_site_fract_y
_atom_site_fract_z
Mn1 0.0000 0.0000 0.0000
Sn1 0.3743 0.0000 0.4847
Sn2 0.5021 0.5000 0.0621
Sn3 0.8840 0.5000 0.5571
P1 0.0670 0.5000 0.8914
P2 0.3563 0.5000 0.3551
P3 0.5334 0.0000 0.1827
P4 0.7933 0.0000 0.6708
O1 0.0689 0.0000 0.6099
O2 0.1119 0.5000 0.7505
O3 0.2106 0.3058 0.9616
O4 0.2106 0.6942 0.9616
O5 0.2250 0.2996 0.4235
O6 0.2250 0.7004 0.4235
O7 0.2416 0.0000 0.1651
O8 0.2606 0.5000 0.2140
O9 0.6132 0.0000 0.3273
O10 0.6224 0.1908 0.6097
O11 0.6224 0.8092 0.6097
O12 0.6497 0.5000 0.3644
O13 0.6743 0.1974 0.1145
O14 0.6743 0.8026 0.1145
O15 0.7688 0.5000 0.9200
O16 0.8119 0.0000 0.8138
```

Principal peaks in the range 2θ = 10–80°, low angle first:
| d (Å) | 2θ (°) | I (rel.) |
| --- | --- | --- |
| 5.243 | 16.91 | 100 |
| 4.620 | 19.21 | 28 |
| 4.589 | 19.34 | 35 |
| 3.703 | 24.03 | 86 |
| 3.686 | 24.15 | 75 |
| 3.097 | 28.83 | 77 |
| 2.626 | 34.15 | 53 |
| 2.609 | 34.38 | 37 |
| 2.569 | 34.92 | 28 |
| 1.682 | 54.56 | 35 |



> What is the formula in the first record?

Mn3SbP4O16